1.
Simulated X-ray powder pattern of Ce3SmOs8 for a wavelength of 1.5418 Å, from the GGA-PBE geometry in Alexandria.
Lines closer than 0.1° are merged.

Principal peaks in the range 2θ from 10° to 90°, sorted by position:
20.1°, d 4.409, intensity 16
33.2°, d 2.700, intensity 19
39.1°, d 2.302, intensity 100
40.9°, d 2.204, intensity 50
47.6°, d 1.909, intensity 9
59.3°, d 1.559, intensity 7
63.3°, d 1.470, intensity 33
69.7°, d 1.350, intensity 30
82.9°, d 1.165, intensity 12
84.1°, d 1.151, intensity 19

Crystal structure
```
Ce3SmOs8
1.0
2.699 1.558 8.823
-2.699 1.558 8.823
0.000 -3.116 8.823
Ce Sm Os
3 1 8
direct
0.000 0.000 0.000 Ce
0.125 0.125 0.125 Ce
0.626 0.626 0.626 Ce
0.501 0.501 0.501 Sm
0.063 0.063 0.562 Os
0.063 0.562 0.063 Os
0.063 0.563 0.563 Os
0.313 0.313 0.313 Os
0.562 0.063 0.063 Os
0.563 0.063 0.563 Os
0.563 0.563 0.063 Os
0.813 0.813 0.813 Os
```



2.
Simulated X-ray powder pattern of Zn4PdPt3 for a wavelength of 1.5418 Å, from the GGA-PBE geometry in Alexandria.
Lines closer than 0.1° are merged.

Principal peaks in the range 2θ from 10° to 90°, sorted by position:
28.1°, d 3.176, intensity 24
30.9°, d 2.892, intensity 11
40.0°, d 2.254, intensity 22
40.3°, d 2.238, intensity 32
41.3°, d 2.186, intensity 10
42.3°, d 2.138, intensity 100
58.1°, d 1.588, intensity 14
74.6°, d 1.272, intensity 18
78.6°, d 1.217, intensity 11
78.8°, d 1.215, intensity 9

Crystal structure
```
Zn4PdPt3
1.0
8.952 0.000 0.000
0.000 5.784 0.000
0.000 0.000 4.508
Zn Pd Pt
8 2 6
direct
0.000 0.249 0.000 Zn
0.000 0.751 0.000 Zn
0.250 0.250 0.434 Zn
0.250 0.750 0.434 Zn
0.500 0.249 0.000 Zn
0.500 0.751 0.000 Zn
0.750 0.250 0.566 Zn
0.750 0.750 0.566 Zn
0.000 0.500 0.500 Pd
0.500 0.500 0.500 Pd
0.000 0.000 0.500 Pt
0.250 0.000 0.929 Pt
0.250 0.500 0.936 Pt
0.500 0.000 0.500 Pt
0.750 0.000 0.071 Pt
0.750 0.500 0.064 Pt
```